CsRbTl2Bi: computed XRD peak list (Cu Kα (λ = 1.5418 Å)), based on the GGA-PBE geometry in Alexandria.
No peak broadening, texture or thermal motion is included.

Atomic structure:
```
data_CsRbTl2Bi
_symmetry_space_group_name_H-M 'I m m 2'
_symmetry_Int_Tables_number 44
_symmetry_space_group_name_Hall 'I 2 -2'
_cell_length_a 4.972
_cell_length_b 6.311
_cell_length_c 14.871
_cell_angle_alpha 90.00
_cell_angle_beta 90.00
_cell_angle_gamma 90.00
loop_
_atom_site_label
_atom_site_type_symbol
_atom_site_fract_x
_atom_site_fract_y
_atom_site_fract_z
Cs1 Cs 0.000 0.000 0.000
Rb1 Rb 0.000 0.500 0.746
Tl1 Tl 0.000 0.000 0.423
Tl2 Tl 0.000 0.500 0.264
Bi1 Bi 0.000 0.000 0.626
```

Most intense lines, 2θ from 10° to 90°, in order of rising 2θ:
| Position (°2θ) | intensity |
| --- | --- |
| 15.25 | 328 |
| 22.79 | 303 |
| 25.76 | 1000 |
| 28.28 | 478 |
| 33.28 | 731 |
| 35.16 | 198 |
| 36.13 | 252 |
| 45.72 | 193 |
| 46.50 | 282 |
| 53.33 | 196 |